# Li4Nb2Cr3Ni3O16
Theoretical powder diffraction line list, λ = 1.5418 Å (Cu Kα). Input: a PBE+U-relaxed structure.
No peak broadening, texture or thermal motion is included.

Principal peaks in the range 10° ≤ 2θ ≤ 80°, in order of rising 2θ:
- (0 0 2), 18.3 deg, 4.845 Å, intensity 343
- (1 0 1), 19.5 deg, 4.552 Å, intensity 1000
- (1 1 -1), 19.6 deg, 4.528 Å, intensity 546
- (0 1 -2), 25.2 deg, 3.533 Å, intensity 417
- (1 0 3), 32.6 deg, 2.745 Å, intensity 239
- (1 0 -3), 32.9 deg, 2.726 Å, intensity 242
- (2 0 0), 34.9 deg, 2.572 Å, intensity 214
- (1 2 2), 35.4 deg, 2.539 Å, intensity 380
- (-1 1 2), 35.5 deg, 2.528 Å, intensity 274
- (0 2 1), 36.1 deg, 2.489 Å, intensity 434
- (2 2 -1), 36.2 deg, 2.481 Å, intensity 207
- (2 4 0), 62.5 deg, 1.486 Å, intensity 297

Structure:
Cell: 5.9370 5.9385 9.6905 Å, 89.73 89.49 60.10°
Sites, in units of the cell vectors:
1 Li 0.0000 0.0000 0.0000
2 Li 0.0140 0.9817 0.5082
3 Li 0.3246 0.3405 0.5958
4 Li 0.6656 0.6648 0.0921
5 Nb 0.3255 0.3384 0.9931
6 Nb 0.6949 0.6414 0.5046
7 Cr 0.1824 0.6511 0.2771
8 Cr 0.1854 0.1549 0.2765
9 Cr 0.3451 0.8388 0.7665
10 Ni 0.6623 0.1633 0.2860
11 Ni 0.8185 0.3432 0.7842
12 Ni 0.8210 0.8339 0.7844
13 O 0.0102 0.9948 0.6980
14 O 0.0170 0.9877 0.1920
15 O 0.0382 0.4767 0.1582
16 O 0.1694 0.6670 0.9035
17 O 0.1711 0.1643 0.9020
18 O 0.2983 0.3458 0.3873
19 O 0.3365 0.8271 0.3928
20 O 0.4672 0.4898 0.1603
21 O 0.4678 0.0359 0.1596
22 O 0.4968 0.5379 0.6451
23 O 0.4966 0.9710 0.6463
24 O 0.6286 0.6810 0.8871
25 O 0.6627 0.1668 0.9146
26 O 0.8423 0.8262 0.3993
27 O 0.8451 0.3175 0.4005
28 O 0.9565 0.5229 0.6454